1.
The following is a computed powder diffraction line list of Tb6DyTe8. It was derived from a DFT-relaxed cell (GGA-PBE, Alexandria), using Cu Ka.
Neutral-atom scattering factors, no anomalous dispersion.

Cell and atoms:
Unit cell a=8.709 b=8.709 c=8.709 alpha=60.00 beta=60.00 gamma=60.00
Fractional coordinates of all 15 atoms:
Tb 0.000 0.000 0.500
Tb 0.000 0.500 0.000
Tb 0.000 0.500 0.500
Tb 0.500 0.000 0.000
Tb 0.500 0.000 0.500
Tb 0.500 0.500 0.000
Dy 0.000 0.000 0.000
Te 0.250 0.250 0.250
Te 0.255 0.255 0.745
Te 0.255 0.745 0.255
Te 0.255 0.745 0.745
Te 0.745 0.255 0.255
Te 0.745 0.255 0.745
Te 0.745 0.745 0.255
Te 0.750 0.750 0.750

Largest 10 diffraction maxima, sorted by position, 15° ≤ 2θ ≤ 90°:
2θ = 20.39°, intensity 3; 2θ = 23.96°, intensity 4; 2θ = 29.00°, intensity 100; 2θ = 31.67°, intensity 3; 2θ = 32.51°, intensity 2; 2θ = 41.47°, intensity 76; 2θ = 51.40°, intensity 27; 2θ = 60.10°, intensity 13; 2θ = 68.09°, intensity 34; 2θ = 75.65°, intensity 25

=====

2.
The following is a computed powder diffraction line list of Pm4BBr6. It was derived from a DFT-relaxed cell (GGA-PBE, Alexandria), using Cu Ka.
Neutral-atom scattering factors, no anomalous dispersion.

Cell and atoms:
Unit cell a=9.572 b=9.572 c=7.106 alpha=90.00 beta=90.00 gamma=90.00
Fractional coordinates of all 22 atoms:
Pm 0.019 0.750 0.101
Pm 0.250 0.519 0.399
Pm 0.250 0.981 0.399
Pm 0.481 0.750 0.101
Pm 0.519 0.250 0.899
Pm 0.750 0.019 0.601
Pm 0.750 0.481 0.601
Pm 0.981 0.250 0.899
B 0.250 0.750 0.250
B 0.750 0.250 0.750
Br 0.047 0.547 0.750
Br 0.047 0.953 0.750
Br 0.250 0.250 0.145
Br 0.250 0.250 0.645
Br 0.453 0.547 0.750
Br 0.453 0.953 0.750
Br 0.547 0.047 0.250
Br 0.547 0.453 0.250
Br 0.750 0.750 0.355
Br 0.750 0.750 0.855
Br 0.953 0.047 0.250
Br 0.953 0.453 0.250

Largest 10 diffraction maxima, sorted by position, 15° ≤ 2θ ≤ 90°:
2θ = 22.40°, intensity 100; 2θ = 29.51°, intensity 20; 2θ = 30.72°, intensity 29; 2θ = 32.76°, intensity 76; 2θ = 36.12°, intensity 50; 2θ = 36.67°, intensity 26; 2θ = 37.59°, intensity 44; 2θ = 42.52°, intensity 22; 2θ = 44.19°, intensity 30; 2θ = 58.02°, intensity 26

=====

3.
The following is a computed powder diffraction line list of La7NdSm2. It was derived from a DFT-relaxed cell (GGA-PBE, Alexandria), using Cu Ka.
Neutral-atom scattering factors, no anomalous dispersion.

Cell and atoms:
Unit cell a=10.599 b=10.599 c=3.564 alpha=90.00 beta=90.00 gamma=109.45
Fractional coordinates of all 10 atoms:
La 0.000 0.000 0.000
La 0.113 0.374 0.000
La 0.179 0.821 0.500
La 0.374 0.113 0.000
La 0.626 0.887 0.000
La 0.821 0.179 0.500
La 0.887 0.626 0.000
Nd 0.500 0.500 0.500
Sm 0.332 0.668 0.000
Sm 0.668 0.332 0.000

Largest 10 diffraction maxima, sorted by position, 15° ≤ 2θ ≤ 90°:
2θ = 25.21°, intensity 46; 2θ = 29.18°, intensity 79; 2θ = 30.37°, intensity 100; 2θ = 31.01°, intensity 31; 2θ = 32.55°, intensity 24; 2θ = 34.37°, intensity 26; 2θ = 36.94°, intensity 71; 2θ = 43.10°, intensity 25; 2θ = 47.75°, intensity 24; 2θ = 61.17°, intensity 27